Starting from a structure optimized by DFT (PBE), the PXRD pattern of Mg7CdAg2 was calculated for a wavelength of 1.5418 Å.
No peak broadening, texture or thermal motion is included.

The 8 most intense peaks (15° ≤ 2θ ≤ 90°), sorted by position:
Position (°2θ), I_rel, h k l
22.9, 100, 1 0 1
23.4, 37, 0 0 3
26.6, 34, 0 1 2
37.6, 79, 1 1 0
38.4, 69, 1 0 4
44.8, 38, 1 1 3
54.8, 23, 0 2 4
68.4, 23, 2 1 4

Cell and atoms:
```
data_Mg7CdAg2
_space_group_name_H-M_alt 'P 3 m 1'
_space_group_IT_number 156
_cell_length_a 4.7804
_cell_length_b 4.7804
_cell_length_c 11.3971
_cell_angle_alpha 90.00
_cell_angle_beta 90.00
_cell_angle_gamma 120.00
loop_
_space_group_symop_operation_xyz
'x,y,z'
'-y,x-y,z'
'-x+y,-x,z'
'-y,-x,z'
'-x+y,y,z'
'x,x-y,z'
loop_
_atom_site_label
_atom_site_fract_x
_atom_site_fract_y
_atom_site_fract_z
Mg1 0.0000 0.0000 0.0000
Mg2 0.0000 0.0000 0.2590
Mg3 0.0000 0.0000 0.5297
Mg4 0.3333 0.6667 0.1360
Mg5 0.3333 0.6667 0.6954
Mg6 0.6667 0.3333 0.3701
Mg7 0.6667 0.3333 0.8491
Cd1 0.3333 0.6667 0.4224
Ag1 0.0000 0.0000 0.7655
Ag2 0.6667 0.3333 0.1113
```



Starting from a structure optimized by DFT (PBE), the PXRD pattern of MgCd2Ag8 was calculated for a wavelength of 1.5418 Å.
No peak broadening, texture or thermal motion is included.

The 8 most intense peaks (15° ≤ 2θ ≤ 90°), sorted by position:
Position (°2θ), I_rel, h k l
37.7, 100, 1 2 3
41.5, 20, 0 4 0
43.5, 15, 0 0 6
46.4, 14, 2 0 0
61.6, 10, 0 4 6
63.9, 10, 2 4 0
73.2, 13, 1 6 3
80.1, 10, 3 2 3

Cell and atoms:
```
data_MgCd2Ag8
_space_group_name_H-M_alt 'I m m m'
_space_group_IT_number 71
_space_group_name_Hall '-I 2 2'
_cell_length_a 3.9177
_cell_length_b 8.7093
_cell_length_c 12.4896
_cell_angle_alpha 90.00
_cell_angle_beta 90.00
_cell_angle_gamma 90.00
loop_
_atom_site_label
_atom_site_fract_x
_atom_site_fract_y
_atom_site_fract_z
Mg1 0.0000 0.0000 0.0000
Cd1 0.0000 0.0000 0.3574
Ag1 0.0000 0.2478 0.1663
Ag2 0.0000 0.2610 0.5000
Ag3 0.0000 0.5000 0.3275
```



Starting from a structure optimized by DFT (PBE), the PXRD pattern of Mg2CdAg4 was calculated for a wavelength of 1.5418 Å.
No peak broadening, texture or thermal motion is included.

The 8 most intense peaks (15° ≤ 2θ ≤ 90°), sorted by position:
Position (°2θ), I_rel, h k l
17.9, 73, 0 0 2
32.7, 33, 1 1 3
36.1, 53, 4 0 0
36.3, 55, 0 0 4
36.5, 49, 2 2 0
37.6, 100, 2 2 1
41.8, 33, 3 1 3
45.9, 46, 2 2 3

Cell and atoms:
```
data_Mg2CdAg4
_space_group_name_H-M_alt 'C m c e'
_space_group_IT_number 64
_space_group_name_Hall '-C 2ac 2'
_cell_length_a 9.9586
_cell_length_b 5.6793
_cell_length_c 9.8949
_cell_angle_alpha 90.00
_cell_angle_beta 90.00
_cell_angle_gamma 90.00
loop_
_atom_site_label
_atom_site_fract_x
_atom_site_fract_y
_atom_site_fract_z
Mg1 0.1688 0.0000 0.0000
Cd1 0.0000 0.0000 0.5000
Ag1 0.0000 0.1100 0.2180
Ag2 0.2500 0.1771 0.7500
```



Starting from a structure optimized by DFT (PBE), the PXRD pattern of Mg3Cd2Ag3 was calculated for a wavelength of 1.5418 Å.
No peak broadening, texture or thermal motion is included.

The 8 most intense peaks (15° ≤ 2θ ≤ 90°), sorted by position:
Position (°2θ), I_rel, h k l
23.3, 22, 0 1 3
26.7, 13, 1 0 1
37.4, 23, 0 0 8
37.5, 100, 1 1 4
37.9, 27, 0 2 0
54.3, 15, 0 2 8
67.5, 19, 2 0 8
68.2, 16, 1 3 4

Cell and atoms:
```
data_Mg3Cd2Ag3
_space_group_name_H-M_alt 'I m m m'
_space_group_IT_number 71
_space_group_name_Hall '-I 2 2'
_cell_length_a 3.3962
_cell_length_b 4.7517
_cell_length_c 19.2519
_cell_angle_alpha 90.00
_cell_angle_beta 90.00
_cell_angle_gamma 90.00
loop_
_atom_site_label
_atom_site_fract_x
_atom_site_fract_y
_atom_site_fract_z
Mg1 0.0000 0.0000 0.0000
Mg2 0.0000 0.5000 0.1209
Cd1 0.0000 0.0000 0.2404
Ag1 0.0000 0.0000 0.5000
Ag2 0.0000 0.5000 0.3831
```



Starting from a structure optimized by DFT (PBE), the PXRD pattern of Mg12Cd3Ag was calculated for a wavelength of 1.5418 Å.
No peak broadening, texture or thermal motion is included.

The 8 most intense peaks (15° ≤ 2θ ≤ 90°), sorted by position:
Position (°2θ), I_rel, h k l
20.1, 66, 1 0 0
28.6, 56, 1 1 0
35.2, 100, 1 1 4
40.8, 49, 2 0 0
45.9, 30, 2 1 0
50.6, 22, 1 1 8
59.1, 31, 2 2 0
70.7, 35, 3 1 4

Cell and atoms:
```
data_Mg12Cd3Ag
_space_group_name_H-M_alt 'P 4/m m m'
_space_group_IT_number 123
_space_group_name_Hall '-P 4 2'
_cell_length_a 4.4204
_cell_length_b 4.4204
_cell_length_c 17.6808
_cell_angle_alpha 90.00
_cell_angle_beta 90.00
_cell_angle_gamma 90.00
loop_
_atom_site_label
_atom_site_fract_x
_atom_site_fract_y
_atom_site_fract_z
Mg1 0.0000 0.0000 0.0000
Mg2 0.0000 0.0000 0.2466
Mg3 0.0000 0.0000 0.5000
Mg4 0.0000 0.5000 0.1193
Mg5 0.0000 0.5000 0.3737
Cd1 0.5000 0.5000 0.2468
Cd2 0.5000 0.5000 0.5000
Ag1 0.5000 0.5000 0.0000
```



Starting from a structure optimized by DFT (PBE), the PXRD pattern of Mg6CdAg2 was calculated for a wavelength of 1.5418 Å.
No peak broadening, texture or thermal motion is included.

The 8 most intense peaks (15° ≤ 2θ ≤ 90°), sorted by position:
Position (°2θ), I_rel, h k l
17.7, 48, 0 0 2
19.9, 100, 0 2 0
24.5, 35, 2 1 1
28.5, 38, 0 1 3
35.1, 49, 1 2 3
37.2, 86, 3 1 2
38.1, 51, 3 2 1
49.1, 37, 3 1 4

Cell and atoms:
```
data_Mg6CdAg2
_space_group_name_H-M_alt 'I m m m'
_space_group_IT_number 71
_space_group_name_Hall '-I 2 2'
_cell_length_a 8.6926
_cell_length_b 8.9170
_cell_length_c 10.0270
_cell_angle_alpha 90.00
_cell_angle_beta 90.00
_cell_angle_gamma 90.00
loop_
_atom_site_label
_atom_site_fract_x
_atom_site_fract_y
_atom_site_fract_z
Mg1 0.0000 0.2095 0.1643
Mg2 0.1899 0.2081 0.5000
Mg3 0.1949 0.5000 0.2496
Cd1 0.0000 0.5000 0.0000
Cd2 0.0000 0.5000 0.5000
Ag1 0.0000 0.0000 0.3602
Ag2 0.1680 0.0000 0.0000
```



Starting from a structure optimized by DFT (PBE), the PXRD pattern of MgCd5Ag6 was calculated for a wavelength of 1.5418 Å.
No peak broadening, texture or thermal motion is included.

The 8 most intense peaks (15° ≤ 2θ ≤ 90°), sorted by position:
Position (°2θ), I_rel, h k l
37.2, 100, 1 3 -2
37.5, 96, 1 3 2
38.2, 46, 0 6 0
38.7, 44, 2 0 0
52.2, 18, 0 0 4
55.5, 29, 2 6 0
66.5, 17, 0 6 4
68.4, 15, 1 9 -2

Cell and atoms:
```
data_MgCd5Ag6
_space_group_name_H-M_alt 'C 1 2/m 1'
_space_group_IT_number 12
_cell_length_a 4.6592
_cell_length_b 14.1329
_cell_length_c 7.0086
_cell_angle_alpha 90.00
_cell_angle_beta 90.75
_cell_angle_gamma 90.00
loop_
_space_group_symop_operation_xyz
'x,y,z'
'-x,-y,-z'
'-x,y,-z'
'x,-y,z'
'x+1/2,y+1/2,z'
'-x+1/2,-y+1/2,-z'
'-x+1/2,y+1/2,-z'
'x+1/2,-y+1/2,z'
loop_
_atom_site_label
_atom_site_fract_x
_atom_site_fract_y
_atom_site_fract_z
Mg1 0.0000 0.0000 0.0000
Cd1 0.0000 0.0000 0.5000
Cd2 0.0000 0.3326 0.0000
Cd3 0.0000 0.3332 0.5000
Ag1 0.0002 0.5000 0.2436
Ag2 0.0007 0.1641 0.2476
```



Starting from a structure optimized by DFT (PBE), the PXRD pattern of Mg5Cd2AgPd2 was calculated for a wavelength of 1.5418 Å.
No peak broadening, texture or thermal motion is included.

The 8 most intense peaks (15° ≤ 2θ ≤ 90°), sorted by position:
Position (°2θ), I_rel, h k l
25.1, 40, 0 0 1
26.6, 57, 3 1 0
34.8, 14, 2 2 1
34.9, 18, 4 1 0
36.9, 100, 3 1 1
37.9, 15, 4 2 0
39.8, 19, 3 2 1
58.3, 14, 6 0 1

Cell and atoms:
```
data_Mg5Cd2AgPd2
_space_group_name_H-M_alt 'P 4/m b m'
_space_group_IT_number 127
_space_group_name_Hall '-P 4 2ab'
_cell_length_a 10.6047
_cell_length_b 10.6047
_cell_length_c 3.5540
_cell_angle_alpha 90.00
_cell_angle_beta 90.00
_cell_angle_gamma 90.00
loop_
_atom_site_label
_atom_site_fract_x
_atom_site_fract_y
_atom_site_fract_z
Mg1 0.0000 0.5000 0.0000
Mg2 0.0747 0.1975 0.0000
Cd1 0.1685 0.6685 0.5000
Ag1 0.0000 0.0000 0.5000
Pd1 0.1304 0.3696 0.5000
```



Starting from a structure optimized by DFT (PBE), the PXRD pattern of PmMgCd2Ag4 was calculated for a wavelength of 1.5418 Å.
No peak broadening, texture or thermal motion is included.

The 8 most intense peaks (15° ≤ 2θ ≤ 90°), sorted by position:
Position (°2θ), I_rel, h k l
33.3, 13, 1 0 7
36.3, 93, 0 1 8
36.9, 100, 1 1 0
52.8, 31, 2 0 8
66.2, 30, 1 2 8
66.6, 17, 3 0 0
78.6, 12, 2 2 0
89.8, 14, 3 1 8

Cell and atoms:
```
data_PmMgCd2Ag4
_space_group_name_H-M_alt 'R -3 m'
_space_group_IT_number 166
_space_group_name_Hall '-R 3 2"'
_cell_length_a 4.8670
_cell_length_b 4.8670
_cell_length_c 24.4427
_cell_angle_alpha 90.00
_cell_angle_beta 90.00
_cell_angle_gamma 120.00
loop_
_atom_site_label
_atom_site_fract_x
_atom_site_fract_y
_atom_site_fract_z
Pm1 0.0000 0.0000 0.0000
Mg1 0.0000 0.0000 0.5000
Cd1 0.0000 0.0000 0.2513
Ag1 0.0000 0.0000 0.1301
Ag2 0.0000 0.0000 0.3874
```



Starting from a structure optimized by DFT (PBE), the PXRD pattern of PuMgCdAg was calculated for a wavelength of 1.5418 Å.
No peak broadening, texture or thermal motion is included.

The 8 most intense peaks (15° ≤ 2θ ≤ 90°), sorted by position:
Position (°2θ), I_rel, h k l
30.2, 16, 0 0 3
30.3, 39, 1 0 1
35.1, 100, 1 0 2
40.8, 35, 1 1 0
51.6, 15, 1 1 3
58.9, 19, 1 1 4
67.8, 15, 2 0 3
70.6, 26, 2 1 2

Cell and atoms:
```
data_PuMgCdAg
_space_group_name_H-M_alt 'P 4 m m'
_space_group_IT_number 99
_cell_length_a 3.1288
_cell_length_b 3.1288
_cell_length_c 8.8864
_cell_angle_alpha 90.00
_cell_angle_beta 90.00
_cell_angle_gamma 90.00
loop_
_space_group_symop_operation_xyz
'x,y,z'
'-y,x,z'
'-x,-y,z'
'y,-x,z'
'-x,y,z'
'y,x,z'
'x,-y,z'
'-y,-x,z'
loop_
_atom_site_label
_atom_site_fract_x
_atom_site_fract_y
_atom_site_fract_z
Pu1 0.0000 0.0000 0.0000
Mg1 0.0000 0.0000 0.4695
Cd1 0.5000 0.5000 0.7161
Ag1 0.5000 0.5000 0.2666
```



Starting from a structure optimized by DFT (PBE), the PXRD pattern of Rb2Mg3Cd12Ag was calculated for a wavelength of 1.5418 Å.
No peak broadening, texture or thermal motion is included.

The 8 most intense peaks (15° ≤ 2θ ≤ 90°), sorted by position:
Position (°2θ), I_rel, h k l
25.0, 45, 1 1 3
29.0, 43, 1 1 6
29.5, 100, 0 2 4
35.5, 37, 2 0 8
36.8, 62, 1 2 2
38.1, 36, 2 1 4
45.0, 60, 3 0 6
48.2, 35, 2 2 0

Cell and atoms:
```
data_Rb2Mg3Cd12Ag
_space_group_name_H-M_alt 'R -3 m'
_space_group_IT_number 166
_space_group_name_Hall '-R 3 2"'
_cell_length_a 7.5516
_cell_length_b 7.5516
_cell_length_c 31.8432
_cell_angle_alpha 90.00
_cell_angle_beta 90.00
_cell_angle_gamma 120.00
loop_
_atom_site_label
_atom_site_fract_x
_atom_site_fract_y
_atom_site_fract_z
Rb1 0.0000 0.0000 0.1544
Mg1 0.0000 0.5000 0.0000
Cd1 0.0627 0.5314 0.0943
Cd2 0.0718 0.5359 0.6176
Ag1 0.0000 0.0000 0.5000
```



Starting from a structure optimized by DFT (PBE), the PXRD pattern of MgCdAgSb was calculated for a wavelength of 1.5418 Å.
No peak broadening, texture or thermal motion is included.

The 8 most intense peaks (15° ≤ 2θ ≤ 90°), sorted by position:
Position (°2θ), I_rel, h k l
21.6, 13, 1 1 1
25.0, 8, 2 0 0
35.6, 100, 2 2 0
42.1, 7, 3 1 1
51.3, 17, 4 0 0
64.0, 34, 4 2 2
75.5, 10, 4 4 0
86.4, 15, 6 2 0

Cell and atoms:
```
data_MgCdAgSb
_space_group_name_H-M_alt 'F -4 3 m'
_space_group_IT_number 216
_space_group_name_Hall 'F -4 2 3'
_cell_length_a 7.1234
_cell_length_b 7.1234
_cell_length_c 7.1234
_cell_angle_alpha 90.00
_cell_angle_beta 90.00
_cell_angle_gamma 90.00
loop_
_atom_site_label
_atom_site_fract_x
_atom_site_fract_y
_atom_site_fract_z
Mg1 0.0000 0.0000 0.0000
Cd1 0.2500 0.2500 0.7500
Ag1 0.0000 0.0000 0.5000
Sb1 0.2500 0.2500 0.2500
```